Record 1
# La4PmHoEr2
Theoretical XRD peak list, Cu Kα X-rays. Input: a cell relaxed with PBE.
Lines closer than 0.1° are merged.

Peak list (10 most intense, 2θ from 5° to 70°, sorted by position)
30.0 deg, I = 100
34.4 deg, I = 35
35.7 deg, I = 16
49.3 deg, I = 6
49.4 deg, I = 6
50.4 deg, I = 24
58.9 deg, I = 22
58.9 deg, I = 7
60.7 deg, I = 14
62.4 deg, I = 6

Atomic structure:
Cell: 10.0535 7.3758 7.3926 Å, 90.00 90.08 90.00°
Fractional positions:
La: 0.2499 0.2501 0.2486
La: 0.2501 0.2499 0.7514
La: 0.2499 0.7499 0.2486
La: 0.2501 0.7501 0.7514
La: 0.7499 0.2499 0.2486
La: 0.7501 0.2501 0.7514
La: 0.7499 0.7501 0.2486
La: 0.7501 0.7499 0.7514
Pm: 0.0000 0.0000 0.5000
Pm: 0.5000 0.5000 0.5000
Ho: 0.0000 0.5000 0.0000
Ho: 0.5000 0.0000 0.0000
Er: 0.0000 0.0000 0.0000
Er: 0.0000 0.5000 0.5000
Er: 0.5000 0.0000 0.5000
Er: 0.5000 0.5000 0.0000

***

Record 2
# RbTb2CuSe4
Theoretical XRD peak list, Cu Kα X-rays. Input: a cell relaxed with PBE.
Lines closer than 0.1° are merged.

Peak list (10 most intense, 2θ from 5° to 70°, sorted by position)
13.7 deg, I = 46
22.2 deg, I = 48
27.6 deg, I = 30
29.1 deg, I = 77
31.1 deg, I = 100
33.4 deg, I = 37
38.4 deg, I = 30
42.1 deg, I = 26
42.6 deg, I = 82
43.6 deg, I = 39

Atomic structure:
Cell: 7.4900 7.4900 14.4600 Å, 90.00 90.00 147.81°
Fractional positions:
Rb: 0.1104 0.8896 0.7500
Rb: 0.8896 0.1104 0.2500
Tb: 0.3660 0.6340 0.5636
Tb: 0.3660 0.6340 0.9364
Tb: 0.6340 0.3660 0.0636
Tb: 0.6340 0.3660 0.4364
Cu: 0.1622 0.8378 0.2500
Cu: 0.8378 0.1622 0.7500
Se: 0.0000 0.0000 0.0000
Se: 0.0000 0.0000 0.5000
Se: 0.2616 0.7384 0.1098
Se: 0.2616 0.7384 0.3902
Se: 0.4301 0.5699 0.7500
Se: 0.5699 0.4301 0.2500
Se: 0.7384 0.2616 0.6098
Se: 0.7384 0.2616 0.8902

***

Record 3
# PuNpNb
Theoretical XRD peak list, Cu Kα X-rays. Input: a cell relaxed with PBE.
Lines closer than 0.1° are merged.

Peak list (10 most intense, 2θ from 5° to 70°, sorted by position)
19.7 deg, I = 50
24.0 deg, I = 57
33.4 deg, I = 32
36.9 deg, I = 100
37.7 deg, I = 46
41.0 deg, I = 84
47.2 deg, I = 20
47.8 deg, I = 15
50.9 deg, I = 14
59.6 deg, I = 18

Atomic structure:
Cell: 5.3989 5.7735 8.0812 Å, 90.00 116.16 90.00°
Fractional positions:
Pu: 0.1039 0.1069 0.2001
Pu: 0.1039 0.3931 0.7001
Pu: 0.8961 0.6069 0.2999
Pu: 0.8961 0.8931 0.7999
Np: 0.2960 0.1328 0.9660
Np: 0.2960 0.3672 0.4660
Np: 0.7040 0.6328 0.5340
Np: 0.7040 0.8672 0.0340
Nb: 0.3002 0.5949 0.1208
Nb: 0.3002 0.9051 0.6208
Nb: 0.6998 0.0949 0.3792
Nb: 0.6998 0.4051 0.8792

***

Record 4
# Tb3Y4Cd
Theoretical XRD peak list, Cu Kα X-rays. Input: a cell relaxed with PBE.
Lines closer than 0.1° are merged.

Peak list (10 most intense, 2θ from 5° to 70°, sorted by position)
18.4 deg, I = 5
31.2 deg, I = 100
35.5 deg, I = 38
37.4 deg, I = 12
51.1 deg, I = 13
52.5 deg, I = 18
58.8 deg, I = 5
61.0 deg, I = 29
63.6 deg, I = 7
65.0 deg, I = 9

Atomic structure:
Cell: 3.5773 3.5773 19.2437 Å, 90.00 90.00 90.00°
Fractional positions:
Tb: 0.0000 0.0000 0.0000
Tb: 0.0000 0.0000 0.2618
Tb: 0.0000 0.0000 0.7382
Y: 0.5000 0.5000 0.1312
Y: 0.5000 0.5000 0.3924
Y: 0.5000 0.5000 0.6076
Y: 0.5000 0.5000 0.8688
Cd: 0.0000 0.0000 0.5000

***

Record 5
# KTiAl
Theoretical XRD peak list, Cu Kα X-rays. Input: a cell relaxed with PBE.
Lines closer than 0.1° are merged.

Peak list (10 most intense, 2θ from 5° to 70°, sorted by position)
7.8 deg, I = 100
22.7 deg, I = 8
23.2 deg, I = 10
23.5 deg, I = 10
29.8 deg, I = 10
31.6 deg, I = 13
34.5 deg, I = 6
38.2 deg, I = 11
39.1 deg, I = 10
47.7 deg, I = 6

Atomic structure:
Cell: 3.8520 4.9083 11.5247 Å, 79.59 86.24 66.96°
Fractional positions:
K: 0.0000 0.0000 0.0000
K: 0.4646 0.3314 0.3472
Ti: 0.2786 0.5341 0.7731
Ti: 0.8744 0.3980 0.6337
Al: 0.1692 0.8409 0.5511
Al: 0.5775 0.9625 0.7079